The following is a simulated powder diffraction line list of LiNd6Cu2O12. It was derived from a cell relaxed with GGA-PBE, using Cu Ka.
Intensities are scaled so that the largest is 100.

Largest 10 diffraction maxima, in order of rising 2θ, 2θ from 10° to 90°:
23.47 deg, I 30; 31.30 deg, I 100; 31.76 deg, I 34; 43.57 deg, I 25; 45.53 deg, I 27; 55.43 deg, I 14; 56.29 deg, I 37; 57.30 deg, I 9; 65.31 deg, I 9; 76.07 deg, I 8

Cell and atoms:
```
21
Lattice="8.347 -2.817 0.000 8.347 2.817 0.000 -2.633 0.000 6.229" Properties=species:S:1:pos:R:3 pbc="T T T"
Li 0.000 0.000 0.000
Nd 0.525 0.000 3.295
Nd 3.244 0.000 0.815
Nd 7.023 0.000 1.251
Nd 7.037 0.000 4.978
Nd 10.816 0.000 5.414
Nd 13.536 0.000 2.933
Cu 3.802 0.000 4.130
Cu 10.258 0.000 2.099
O 2.857 1.409 3.114
O 5.111 1.405 1.026
O 4.694 1.361 5.116
O 7.030 1.402 3.114
O 9.366 1.361 1.113
O 8.950 1.405 5.203
O 2.857 -1.409 3.114
O 5.111 -1.405 1.026
O 4.694 -1.361 5.116
O 7.030 -1.402 3.114
O 9.366 -1.361 1.113
O 8.950 -1.405 5.203
```

The following is a simulated powder diffraction line list of ZnOF. It was derived from a cell relaxed with GGA-PBE, using Cu Ka.
Intensities are scaled so that the largest is 100.

Largest 10 diffraction maxima, in order of rising 2θ, 2θ from 10° to 90°:
21.56 deg, I 100; 32.78 deg, I 39; 33.30 deg, I 34; 34.77 deg, I 33; 35.86 deg, I 69; 40.31 deg, I 14; 50.64 deg, I 16; 53.08 deg, I 35; 57.14 deg, I 27; 61.41 deg, I 19

Cell and atoms:
```
12
Lattice="10.318 0.000 0.000 0.000 3.153 0.000 0.000 0.000 4.497" Properties=species:S:1:pos:R:3 pbc="T T T"
Zn 1.431 0.788 0.262
Zn 3.728 2.365 2.510
Zn 6.590 0.788 1.987
Zn 8.887 2.365 4.235
O 2.083 2.365 1.347
O 3.076 0.788 3.596
O 7.243 2.365 0.901
O 8.235 0.788 3.149
F 0.577 2.365 3.602
F 4.582 0.788 1.354
F 5.737 2.365 3.143
F 9.741 0.788 0.894
```

The following is a simulated powder diffraction line list of Te7As5I. It was derived from a cell relaxed with GGA-PBE, using Cu Ka.
Intensities are scaled so that the largest is 100.

Largest 10 diffraction maxima, in order of rising 2θ, 2θ from 10° to 90°:
26.29 deg, I 12; 27.08 deg, I 10; 28.43 deg, I 46; 29.03 deg, I 100; 37.21 deg, I 26; 38.43 deg, I 12; 44.42 deg, I 17; 44.68 deg, I 29; 48.11 deg, I 12; 53.59 deg, I 15

Cell and atoms:
```
13
Lattice="7.525 -2.039 0.000 7.525 2.039 0.000 -4.941 0.000 13.170" Properties=species:S:1:pos:R:3 pbc="T T T"
Te 0.000 0.000 0.000
Te -3.124 0.000 9.351
Te 2.694 0.000 6.365
Te 5.256 0.000 2.562
Te 6.629 0.000 6.726
Te 9.176 0.000 3.090
Te 6.046 0.000 12.505
As 0.215 0.000 5.253
As 2.483 0.000 1.066
As 3.584 0.000 11.332
As 9.472 0.000 8.189
As 11.670 0.000 4.027
I 0.721 0.000 10.047
```